Record 1
The following is a calculated X-ray diffraction stick pattern of ZnGa2S4. It was derived from the PBE geometry in the Materials Project, using Cu Kα (weighted mean of Kα1 and Kα2).
Neutral-atom scattering factors, no anomalous dispersion.

Crystal structure
Cell lengths 6.0508, 9.8684, 9.6205 Å; angles 90.00, 90.00, 90.00 degrees
Space group Cccm (No. 66)
Asymmetric unit:
Zn1 0.0000 0.0000 0.2500 [4 per cell]
Ga1 0.0011 0.2695 0.0000 [8 per cell]
S1 0.2191 0.0739 0.5000 [8 per cell]
S2 0.2500 0.2500 0.1799 [8 per cell]

Largest 10 diffraction maxima, most intense first, 15 to 90 degrees two-theta:
- 39.65 deg, d = 2.273 Å, I = 100.0, (2 2 2)
- 25.87 deg, d = 3.444 Å, I = 30.5, (0 2 2)
- 37.39 deg, d = 2.405 Å, I = 25.7, (0 0 4)
- 25.32 deg, d = 3.518 Å, I = 23.5, (1 1 2)
- 36.42 deg, d = 2.467 Å, I = 23.1, (0 4 0)
- 17.98 deg, d = 4.934 Å, I = 22.2, (0 2 0)
- 18.44 deg, d = 4.810 Å, I = 21.6, (0 0 2)
- 17.19 deg, d = 5.158 Å, I = 21.5, (1 1 0)
- 30.94 deg, d = 2.890 Å, I = 18.8, (1 3 0)
- 32.34 deg, d = 2.768 Å, I = 18.3, (1 3 1)

Record 2
The following is a calculated X-ray diffraction stick pattern of Er3GaC. It was derived from the PBE geometry in the Materials Project, using Cu Kα (weighted mean of Kα1 and Kα2).
Neutral-atom scattering factors, no anomalous dispersion.

Crystal structure
Cell lengths 5.2531, 5.2531, 5.2531 Å; angles 90.00, 90.00, 90.00 degrees
Space group Pm-3m (No. 221)
Asymmetric unit:
Er1 0.0000 0.0000 0.5000 [3 per cell]
Ga1 0.0000 0.0000 0.0000 [1 per cell]
C1 0.5000 0.5000 0.5000 [1 per cell]

Largest 10 diffraction maxima, most intense first, 15 to 90 degrees two-theta:
- 29.45 deg, d = 3.033 Å, I = 100.0, (1 1 1)
- 34.14 deg, d = 2.627 Å, I = 91.4, (2 0 0)
- 16.88 deg, d = 5.253 Å, I = 78.0, (1 0 0)
- 49.05 deg, d = 1.857 Å, I = 65.6, (2 2 0)
- 58.25 deg, d = 1.584 Å, I = 44.1, (3 1 1)
- 38.31 deg, d = 2.349 Å, I = 41.5, (2 1 0)
- 82.04 deg, d = 1.175 Å, I = 29.4, (4 2 0)
- 61.11 deg, d = 1.516 Å, I = 22.5, (2 2 2)
- 52.24 deg, d = 1.751 Å, I = 21.4, (3 0 0)
- 79.54 deg, d = 1.205 Å, I = 18.1, (3 3 1)